(1)
This entry pairs a crystal structure of YZr2In3Ir2 with its computed powder diffraction line list. Radiation: Cu Kα X-rays. Structure: the PBE geometry in OQMD.

Cell lengths 3.400, 13.283, 7.546 Å; angles 90.00, 90.00, 90.00 degrees
Space group Amm2 (No. 38)
Inequivalent atoms, fractional coordinates:
Y (0.000, 0.000, 0.000) [2 per cell]
Zr (0.000, 0.212, 0.369) [4 per cell]
In (0.500, 0.000, 0.352) [2 per cell]
In (0.500, 0.118, 0.695) [4 per cell]
Ir (0.500, 0.173, 0.085) [4 per cell]

Principal peaks in the range 10° ≤ 2θ ≤ 90°, in order of rising 2θ:
2θ/deg, Rel. int., index
26.21, 38, 1 0 0
35.35, 100, 1 3 1
35.55, 55, 1 0 2
35.83, 54, 0 5 1
36.03, 43, 0 4 2
36.35, 41, 0 1 3
37.87, 29, 1 4 0
38.12, 76, 1 2 2
41.28, 27, 0 3 3
53.94, 26, 2 0 0

(2)
This entry pairs a crystal structure of Ba2MoH6Pd with its computed powder diffraction line list. Radiation: Cu Kα X-rays. Structure: the PBE geometry in OQMD.

Cell lengths 5.544, 8.502, 5.551 Å; angles 90.00, 90.78, 90.00 degrees
Space group P2_1/m (No. 11)
Inequivalent atoms, fractional coordinates:
Ba (0.250, 0.000, 0.250) [4 per cell]
Mo (0.250, 0.250, 0.750) [2 per cell]
H (0.001, 0.250, 0.999) [2 per cell]
H (0.005, 0.750, 0.502) [2 per cell]
H (0.250, 0.028, 0.750) [4 per cell]
H (0.496, 0.750, 0.996) [2 per cell]
H (0.498, 0.250, 0.501) [2 per cell]
Pd (0.249, 0.750, 0.751) [2 per cell]

Principal peaks in the range 10° ≤ 2θ ≤ 90°, in order of rising 2θ:
2θ/deg, Rel. int., index
30.90, 100, 1 2 -1
31.14, 98, 1 2 1
32.28, 89, 2 0 0
42.53, 21, 0 4 0
45.96, 17, 2 0 -2
46.62, 16, 2 0 2
54.38, 40, 2 4 0
56.56, 35, 3 2 -1
56.99, 34, 3 2 1
64.40, 12, 2 4 -2

(3)
This entry pairs a crystal structure of KNdS2O8 with its computed powder diffraction line list. Radiation: Cu Kα X-rays. Structure: the PBE geometry in OQMD.

Cell lengths 8.432, 7.113, 10.606 Å; angles 90.00, 92.38, 90.00 degrees
Space group P2_1/c (No. 14)
Inequivalent atoms, fractional coordinates:
K (0.067, 0.145, 0.342) [4 per cell]
Nd (0.441, 0.669, 0.651) [4 per cell]
S (0.216, 0.658, 0.410) [4 per cell]
S (0.309, 0.166, 0.609) [4 per cell]
O (0.095, 0.525, 0.370) [4 per cell]
O (0.138, 0.141, 0.607) [4 per cell]
O (0.188, 0.749, 0.033) [4 per cell]
O (0.240, 0.695, 0.811) [4 per cell]
O (0.356, 0.164, 0.188) [4 per cell]
O (0.367, 0.177, 0.480) [4 per cell]
O (0.374, 0.560, 0.437) [4 per cell]
O (0.398, 0.010, 0.677) [4 per cell]

Principal peaks in the range 10° ≤ 2θ ≤ 90°, in order of rising 2θ:
2θ/deg, Rel. int., index
10.50, 100, 1 0 0
26.47, 54, 2 0 -2
28.38, 74, 1 2 -1
29.35, 16, 2 1 -2
30.37, 57, 2 1 2
33.84, 26, 0 0 4
41.53, 23, 2 1 -4
44.88, 28, 4 1 0
47.68, 21, 1 3 3
51.39, 19, 3 3 1

(4)
This entry pairs a crystal structure of YIn2Au with its computed powder diffraction line list. Radiation: Cu Kα X-rays. Structure: the PBE geometry in OQMD.

Cell lengths 7.179, 7.179, 7.179 Å; angles 90.00, 90.00, 90.00 degrees
Space group F-43m (No. 216)
Inequivalent atoms, fractional coordinates:
Y (0.000, 0.000, 0.000) [4 per cell]
In (0.000, 0.000, 0.500) [4 per cell]
In (0.250, 0.250, 0.750) [4 per cell]
Au (0.250, 0.250, 0.250) [4 per cell]

Principal peaks in the range 10° ≤ 2θ ≤ 90°, in order of rising 2θ:
2θ/deg, Rel. int., index
21.44, 6, 1 1 1
24.81, 5, 2 0 0
35.37, 100, 2 2 0
41.73, 4, 3 1 1
43.68, 2, 2 2 2
50.88, 18, 4 0 0
57.41, 2, 4 2 0
63.48, 36, 4 2 2
74.82, 11, 4 4 0
85.56, 16, 6 2 0

(5)
This entry pairs a crystal structure of Hf2Ni3P3 with its computed powder diffraction line list. Radiation: Cu Kα X-rays. Structure: the PBE geometry in OQMD.

Cell lengths 12.274, 3.598, 9.965 Å; angles 90.00, 90.00, 90.00 degrees
Space group Pnma (No. 62)
Inequivalent atoms, fractional coordinates:
Hf (0.005, 0.250, 0.164) [4 per cell]
Hf (0.209, 0.750, 0.573) [4 per cell]
Ni (0.016, 0.250, 0.596) [4 per cell]
Ni (0.166, 0.750, 0.273) [4 per cell]
Ni (0.216, 0.750, 0.864) [4 per cell]
P (0.103, 0.250, 0.397) [4 per cell]
P (0.127, 0.750, 0.053) [4 per cell]
P (0.144, 0.250, 0.761) [4 per cell]

Principal peaks in the range 10° ≤ 2θ ≤ 90°, in order of rising 2θ:
2θ/deg, Rel. int., index
26.33, 26, 0 1 1
27.82, 22, 1 0 3
29.10, 28, 4 0 0
31.52, 39, 1 1 2
36.82, 54, 0 1 3
37.88, 69, 3 1 2
38.56, 39, 4 1 0
39.70, 100, 2 1 3
50.75, 38, 0 2 0
52.52, 23, 6 0 3